Starting from DFT lattice parameters and positions (PBE+U), the powder diffraction line list of KMg6CoO8 was simulated for Cu Kα X-rays.
Kinematic intensities with the Lorentz-polarization factor, no thermal factor.

Cell and atoms:
```
data_KMg6CoO8
_cell_length_a 4.4920
_cell_length_b 4.4920
_cell_length_c 8.5086
_cell_angle_alpha 90.00
_cell_angle_beta 90.00
_cell_angle_gamma 90.00
_space_group_name_H-M_alt 'P 4/m m m'
_space_group_IT_number 123
_space_group_name_Hall '-P 4 2'
loop_
_atom_site_label
_atom_site_type_symbol
_atom_site_fract_x
_atom_site_fract_y
_atom_site_fract_z
K1 K 0.0000 0.0000 0.0000
Mg1 Mg 0.0000 0.5000 0.2504
Mg2 Mg 0.5000 0.5000 0.0000
Mg3 Mg 0.5000 0.5000 0.5000
Co1 Co 0.0000 0.0000 0.5000
O1 O 0.0000 0.0000 0.2833
O2 O 0.0000 0.5000 0.0000
O3 O 0.0000 0.5000 0.5000
O4 O 0.5000 0.5000 0.2522
```

Peak list (6 most intense, 2θ from 15° to 90°, in order of rising 2θ)
- 2.545 Å, rel. 32, (1 1 2)
- 2.246 Å, rel. 100, (2 0 0)
- 2.127 Å, rel. 39, (0 0 4)
- 1.588 Å, rel. 29, (2 2 0)
- 1.544 Å, rel. 49, (2 0 4)
- 1.273 Å, rel. 23, (2 2 4)